No. 1
TmHg2Pd: computed XRD peak list (Cu Kα, 1.54184 Å), based on a structure optimized by DFT (PBE).
Neutral-atom scattering factors, no anomalous dispersion.

Crystal structure
Unit cell a=4.285 b=4.285 c=4.679 alpha=90.00 beta=90.00 gamma=90.00
Fractional positions:
Tm (0.000, 0.000, 0.000)
Hg (0.000, 0.500, 0.500)
Hg (0.500, 0.000, 0.500)
Pd (0.500, 0.500, 0.000)

Main lines, low angle first (2θ = 10–90°):
d/Å	I_rel
2.543	100.0
2.340	19.8
2.142	30.7
1.580	23.7
1.387	15.3
1.301	25.0

No. 2
Tm11Hg9Pd4: computed XRD peak list (Cu Kα, 1.54184 Å), based on a structure optimized by DFT (PBE).
Neutral-atom scattering factors, no anomalous dispersion.

Crystal structure
Unit cell a=12.972 b=12.972 c=3.610 alpha=90.00 beta=90.00 gamma=113.01
Fractional positions:
Tm (0.000, 0.000, 0.000)
Tm (0.075, 0.414, 0.000)
Tm (0.166, 0.834, 0.000)
Tm (0.294, 0.294, 0.000)
Tm (0.367, 0.633, 0.000)
Tm (0.414, 0.075, 0.000)
Tm (0.586, 0.925, 0.000)
Tm (0.633, 0.367, 0.000)
Tm (0.706, 0.706, 0.000)
Tm (0.834, 0.166, 0.000)
Tm (0.925, 0.586, 0.000)
Hg (0.062, 0.213, 0.500)
Hg (0.150, 0.630, 0.500)
Hg (0.213, 0.062, 0.500)
Hg (0.370, 0.850, 0.500)
Hg (0.500, 0.500, 0.500)
Hg (0.630, 0.150, 0.500)
Hg (0.787, 0.938, 0.500)
Hg (0.850, 0.370, 0.500)
Hg (0.938, 0.787, 0.500)
Pd (0.253, 0.449, 0.500)
Pd (0.449, 0.253, 0.500)
Pd (0.551, 0.747, 0.500)
Pd (0.747, 0.551, 0.500)

Main lines, low angle first (2θ = 10–90°):
d/Å	I_rel
2.722	9.3
2.551	49.4
2.541	100.0
1.804	20.5
1.471	28.2
1.465	8.8

No. 3
Tm3Hg2Pd: computed XRD peak list (Cu Kα, 1.54184 Å), based on a structure optimized by DFT (PBE).
Neutral-atom scattering factors, no anomalous dispersion.

Crystal structure
Unit cell a=3.599 b=3.599 c=10.830 alpha=90.00 beta=90.00 gamma=90.00
Fractional positions:
Tm (0.000, 0.000, 0.000)
Tm (0.000, 0.000, 0.348)
Tm (0.000, 0.000, 0.652)
Hg (0.500, 0.500, 0.171)
Hg (0.500, 0.500, 0.829)
Pd (0.500, 0.500, 0.500)

Main lines, low angle first (2θ = 10–90°):
d/Å	I_rel
2.547	100.0
1.799	12.2
1.472	11.3
1.470	24.5
1.274	7.1
1.138	11.2